Structure and simulated X-ray diffraction stick pattern of K3Na4Bi2 (a cell relaxed with PBE; Cu Kα X-rays).
No peak broadening, texture or thermal motion is included.

Crystal structure
```
K3Na4Bi2
1.0
4.9335 -2.8441 0.0000
4.9335 2.8441 0.0000
-0.0258 0.0000 11.0896
K Na Bi
3 4 2
Cartesian
0.0000 0.0000 0.0000
3.2776 0.0000 4.6641
6.5636 0.0000 6.4254
9.8566 0.0000 3.3426
-0.0154 0.0000 7.7470
3.2864 0.0000 1.1503
6.5549 0.0000 9.9393
3.2704 0.0000 8.7385
6.5709 0.0000 2.3511
```

Peak list (10 most intense, 15° ≤ 2θ ≤ 90°, in order of rising 2θ)
Position (°2θ), I/Imax
15.98, 30
17.99, 25
19.71, 100
24.11, 21
24.18, 30
30.22, 88
31.43, 81
35.45, 28
37.37, 21
55.23, 21